Diffraction record for Mn5Si3. The XRD peak list is simulated, not measured: it uses a PBE-relaxed structure and copper Kα.
Kinematic intensities with the Lorentz-polarization factor, no thermal factor.

Structure:
a = 11.849 Å, b = 6.716 Å, c = 4.646 Å
α = 90.00°, β = 90.00°, γ = 90.00°
Space group Cmcm (No. 63)
Asymmetric unit:
Mn: 0.000 0.222 0.250 x4
Mn: 0.121 0.117 0.750 x8
Mn: 0.163 0.500 0.000 x8
Si: 0.000 0.391 0.750 x4
Si: 0.202 0.197 0.250 x8

Most intense lines, 2θ = 15–90°, sorted by position:
hkl 0 0 2, 38.77°, d = 2.323 Å, rel. 25; hkl 4 2 0, 40.61°, d = 2.221 Å, rel. 41; hkl 1 3 0, 41.03°, d = 2.200 Å, rel. 38; hkl 1 1 2, 41.83°, d = 2.160 Å, rel. 67; hkl 5 1 1, 45.02°, d = 2.014 Å, rel. 70; hkl 4 2 1, 45.25°, d = 2.004 Å, rel. 90; hkl 1 3 1, 45.63°, d = 1.988 Å, rel. 66; hkl 6 0 0, 45.95°, d = 1.975 Å, rel. 28; hkl 3 3 0, 46.64°, d = 1.948 Å, rel. 45; hkl 3 1 2, 47.38°, d = 1.919 Å, rel. 100; hkl 0 2 2, 47.60°, d = 1.910 Å, rel. 49; hkl 3 5 0, 74.59°, d = 1.272 Å, rel. 26